1.
Starting from a DFT-relaxed cell (PBE, Alexandria), the powder diffractogram of Ag2SnHg was computed for CuKα.
Kinematic intensities with the Lorentz-polarization factor, no thermal factor.

Principal peaks in the range 2θ from 15° to 90°, sorted by position:
| Position (°2θ) | I (rel.) |
| --- | --- |
| 32.82 | 22 |
| 33.14 | 19 |
| 34.68 | 79 |
| 34.81 | 31 |
| 36.67 | 57 |
| 37.05 | 57 |
| 37.82 | 55 |
| 38.02 | 100 |
| 40.06 | 35 |
| 57.69 | 20 |

Structural model:
a = 3.196 Å, b = 6.134 Å, c = 9.174 Å
α = 92.85°, β = 99.63°, γ = 104.64°
Space group P-1 (No. 2)
Asymmetric unit:
Ag 0.151 0.290 0.012
Ag 0.344 0.205 0.482
Sn 0.102 0.483 0.718
Hg 0.391 0.004 0.786

2.
Starting from a DFT-relaxed cell (PBE, Alexandria), the powder diffractogram of SrAgHg2 was computed for CuKα.
Kinematic intensities with the Lorentz-polarization factor, no thermal factor.

Principal peaks in the range 2θ from 15° to 90°, sorted by position:
| Position (°2θ) | I (rel.) |
| --- | --- |
| 23.31 | 63 |
| 24.44 | 87 |
| 31.30 | 92 |
| 37.76 | 96 |
| 40.26 | 100 |
| 41.36 | 33 |
| 51.88 | 30 |
| 56.39 | 30 |
| 67.66 | 42 |
| 71.54 | 30 |

Structural model:
a = 4.4796 Å, b = 4.4796 Å, c = 21.1274 Å
α = 90.00°, β = 90.00°, γ = 120.00°
Space group R3m (No. 160, hexagonal axes)
Asymmetric unit:
Sr 0.0000 0.0000 0.0000
Ag 0.0000 0.0000 0.8285
Hg 0.0000 0.0000 0.4275
Hg 0.0000 0.0000 0.5694

3.
Starting from a DFT-relaxed cell (PBE, Alexandria), the powder diffractogram of SrAgHg2 was computed for CuKα.
Kinematic intensities with the Lorentz-polarization factor, no thermal factor.

Principal peaks in the range 2θ from 15° to 90°, sorted by position:
| Position (°2θ) | I (rel.) |
| --- | --- |
| 17.98 | 26 |
| 23.16 | 70 |
| 29.47 | 61 |
| 33.11 | 24 |
| 34.98 | 100 |
| 36.42 | 45 |
| 42.32 | 30 |
| 42.43 | 29 |
| 43.61 | 27 |
| 53.68 | 24 |

Structural model:
a = 3.841 Å, b = 4.934 Å, c = 6.005 Å
α = 90.00°, β = 90.17°, γ = 90.00°
Space group P2/m (No. 10)
Asymmetric unit:
Sr 0.000 0.000 0.000
Ag 0.500 0.000 0.500
Hg 0.497 0.500 0.747

Q: Which formula does entry 1 have?
A: Ag2SnHg